For Li2V6O13, DFT lattice parameters and positions (PBE+U) gives the theoretical powder X-ray diffraction pattern in this record (Cu Kα, 1.54184 Å).
Intensities are scaled so that the largest is 100.

Principal peaks in the range 5° ≤ 2θ ≤ 70°, in order of rising 2θ:
8.08 deg, intensity 46.1; 14.90 deg, intensity 28.8; 16.20 deg, intensity 41.0; 24.41 deg, intensity 47.5; 25.15 deg, intensity 100.0; 26.09 deg, intensity 40.9; 30.86 deg, intensity 24.8; 33.05 deg, intensity 34.7; 41.26 deg, intensity 26.1; 44.89 deg, intensity 28.4; 49.13 deg, intensity 38.2; 58.91 deg, intensity 23.8

Crystal structure
```
data_Li2V6O13
_space_group_name_H-M_alt 'P 1'
_space_group_IT_number 1
_space_group_name_Hall 'P 1'
_cell_length_a 6.3360
_cell_length_b 6.3360
_cell_length_c 11.1492
_cell_angle_alpha 100.62
_cell_angle_beta 100.62
_cell_angle_gamma 34.04
loop_
_atom_site_label
_atom_site_type_symbol
_atom_site_fract_x
_atom_site_fract_y
_atom_site_fract_z
Li1 Li 0.0893 0.0893 0.1358
Li2 Li 0.9107 0.9107 0.8642
V1 V 0.2951 0.2951 0.6360
V2 V 0.3541 0.3541 0.0502
V3 V 0.4077 0.4077 0.3917
V4 V 0.5923 0.5923 0.6083
V5 V 0.6459 0.6459 0.9498
V6 V 0.7049 0.7049 0.3640
O1 O 0.1236 0.1236 0.6216
O2 O 0.1816 0.1816 0.0071
O3 O 0.2416 0.2416 0.4062
O4 O 0.3475 0.3475 0.7868
O5 O 0.3901 0.3901 0.2054
O6 O 0.4334 0.4334 0.5716
O7 O 0.5000 0.5000 0.0000
O8 O 0.5666 0.5666 0.4284
O9 O 0.6099 0.6099 0.7946
O10 O 0.6525 0.6525 0.2132
O11 O 0.7584 0.7584 0.5938
O12 O 0.8184 0.8184 0.9929
O13 O 0.8764 0.8764 0.3784
```